No. 1
For BaMo3O10, DFT lattice parameters and positions (PBE+U) gives the calculated PXRD pattern in this record (Cu Kα X-rays).
No peak broadening, texture or thermal motion is included.

The 10 most intense peaks (2θ from 10° to 80°), most intense first:
- 26.27°, d = 3.393 Å, I 100
- 27.95°, d = 3.193 Å, I 46
- 24.12°, d = 3.689 Å, I 37
- 29.97°, d = 2.982 Å, I 34
- 26.80°, d = 3.327 Å, I 32
- 29.68°, d = 3.010 Å, I 31
- 47.23°, d = 1.925 Å, I 26
- 25.40°, d = 3.506 Å, I 24
- 42.30°, d = 2.137 Å, I 23
- 12.62°, d = 7.012 Å, I 22

Crystal structure
Cell: 7.3219 7.6980 15.4077 Å, 90.00 106.72 90.00°
Fractional coordinates of all 56 atoms:
Ba: 0.1692 0.1312 0.3182
Ba: 0.1692 0.3688 0.8182
Ba: 0.8308 0.6312 0.1818
Ba: 0.8308 0.8688 0.6818
Mo: 0.2910 0.1339 0.6036
Mo: 0.2910 0.3661 0.1036
Mo: 0.3342 0.6433 0.6346
Mo: 0.3342 0.8567 0.1346
Mo: 0.3517 0.6279 0.4152
Mo: 0.3517 0.8721 0.9152
Mo: 0.6483 0.1279 0.0848
Mo: 0.6483 0.3721 0.5848
Mo: 0.6658 0.1433 0.8654
Mo: 0.6658 0.3567 0.3654
Mo: 0.7090 0.6339 0.8964
Mo: 0.7090 0.8661 0.3964
O: 0.1164 0.1528 0.6620
O: 0.1164 0.3472 0.1620
O: 0.1217 0.6095 0.6640
O: 0.1217 0.8905 0.1640
O: 0.1572 0.1296 0.4903
O: 0.1572 0.3704 0.9903
O: 0.1851 0.6140 0.3088
O: 0.1851 0.8860 0.8088
O: 0.2048 0.6396 0.4924
O: 0.2048 0.8604 0.9924
O: 0.3430 0.6148 0.1212
O: 0.3430 0.8852 0.6212
O: 0.3736 0.1196 0.1146
O: 0.3736 0.3804 0.6146
O: 0.4298 0.1148 0.9291
O: 0.4298 0.3852 0.4291
O: 0.4302 0.6384 0.9114
O: 0.4302 0.8616 0.4114
O: 0.4928 0.1357 0.7575
O: 0.4928 0.3643 0.2575
O: 0.5072 0.6357 0.7425
O: 0.5072 0.8643 0.2425
O: 0.5698 0.1384 0.5886
O: 0.5698 0.3616 0.0886
O: 0.5702 0.6148 0.5709
O: 0.5702 0.8852 0.0709
O: 0.6264 0.6196 0.3854
O: 0.6264 0.8804 0.8854
O: 0.6570 0.1148 0.3787
O: 0.6570 0.3852 0.8788
O: 0.7952 0.1396 0.0076
O: 0.7952 0.3604 0.5076
O: 0.8149 0.1140 0.1912
O: 0.8149 0.3860 0.6912
O: 0.8428 0.6296 0.0097
O: 0.8428 0.8704 0.5097
O: 0.8783 0.1095 0.8360
O: 0.8783 0.3905 0.3360
O: 0.8836 0.6528 0.8380
O: 0.8836 0.8472 0.3380

---

No. 2
For BaMoO4, DFT lattice parameters and positions (PBE+U) gives the calculated PXRD pattern in this record (Cu Kα X-rays).
No peak broadening, texture or thermal motion is included.

The 10 most intense peaks (2θ from 10° to 80°), most intense first:
- 25.96°, d = 3.433 Å, I 100
- 42.04°, d = 2.149 Å, I 29
- 52.64°, d = 1.739 Å, I 26
- 31.37°, d = 2.852 Å, I 22
- 47.41°, d = 1.918 Å, I 18
- 27.28°, d = 3.270 Å, I 17
- 67.39°, d = 1.390 Å, I 14
- 53.38°, d = 1.716 Å, I 13
- 44.95°, d = 2.016 Å, I 10
- 65.85°, d = 1.418 Å, I 8

Crystal structure
Cell: 7.6827 7.6827 7.6827 Å, 136.42 136.42 63.33°
Fractional coordinates of all 12 atoms:
Ba: 0.3750 0.1250 0.2500
Ba: 0.6250 0.8750 0.7500
Mo: 0.1250 0.3750 0.7500
Mo: 0.8750 0.6250 0.2500
O: 0.0814 0.2174 0.3955
O: 0.1858 0.5814 0.3640
O: 0.2826 0.1782 0.8640
O: 0.3218 0.6858 0.1045
O: 0.6782 0.3142 0.8955
O: 0.7174 0.8218 0.1360
O: 0.8142 0.4186 0.6360
O: 0.9186 0.7826 0.6045